Record 1
Simulated powder X-ray diffraction pattern of SrNdMn2O5 for a wavelength of 1.5418 Å, from a cell relaxed with GGA+U.
Neutral-atom scattering factors, no anomalous dispersion.

Structure:
```
data_SrNdMn2O5
_chemical_formula_sum 'Sr4 Nd4 Mn8 O20'
_symmetry_space_group_name_H-M 'C 1 m 1'
_symmetry_Int_Tables_number 8
_symmetry_space_group_name_Hall 'C -2y'
_cell_length_a 7.899
_cell_length_b 16.206
_cell_length_c 5.490
_cell_angle_alpha 90.00
_cell_angle_beta 134.00
_cell_angle_gamma 90.00
loop_
_atom_site_label
_atom_site_fract_x
_atom_site_fract_y
_atom_site_fract_z
Sr1 0.000 0.138 0.000
Nd1 0.040 0.357 0.031
Mn1 0.016 0.250 0.510
Mn2 0.078 0.000 0.619
Mn3 0.458 0.000 0.498
O1 0.051 0.381 0.550
O2 0.121 0.000 0.036
O3 0.265 0.239 0.008
O4 0.269 0.242 0.517
O5 0.441 0.000 0.879
O6 0.444 0.384 0.422
```

Main lines, sorted by position (5° ≤ 2θ ≤ 70°):
two_theta, Rel. int., (hkl)
10.92, 15, 0 2 0
22.52, 17, 2 0 -1
31.49, 34, 2 0 0
31.64, 100, 0 4 1
32.62, 36, 2 0 -2
40.46, 16, 0 6 1
44.74, 15, 0 8 0
45.97, 32, 0 0 2
56.17, 19, 2 4 1
57.60, 18, 2 4 -3
61.91, 10, 2 10 -1
66.09, 13, 0 8 2

***

Record 2
Simulated powder X-ray diffraction pattern of Sr2NdMnO6 for a wavelength of 1.5418 Å, from a cell relaxed with GGA+U.
Neutral-atom scattering factors, no anomalous dispersion.

Structure:
```
data_Sr2NdMnO6
_chemical_formula_sum 'Sr8 Nd4 Mn4 O24'
_symmetry_space_group_name_H-M 'F m -3 m'
_symmetry_Int_Tables_number 225
_symmetry_space_group_name_Hall '-F 4 2 3'
_cell_length_a 8.391
_cell_length_b 8.391
_cell_length_c 8.391
_cell_angle_alpha 90.00
_cell_angle_beta 90.00
_cell_angle_gamma 90.00
loop_
_atom_site_label
_atom_site_fract_x
_atom_site_fract_y
_atom_site_fract_z
Sr1 0.250 0.250 0.250
Nd1 0.000 0.000 0.000
Mn1 0.000 0.000 0.500
O1 0.000 0.000 0.272
```

Main lines, sorted by position (5° ≤ 2θ ≤ 70°):
two_theta, Rel. int., (hkl)
18.31, 9, 1 1 1
21.18, 4, 2 0 0
30.12, 100, 2 2 0
35.48, 9, 3 1 1
37.12, 2, 2 2 2
43.12, 34, 4 0 0
47.22, 6, 3 3 1
48.52, 1, 4 2 0
53.50, 39, 4 2 2
57.03, 3, 3 3 3
62.63, 20, 4 4 0
65.85, 2, 5 3 1

***

Record 3
Simulated powder X-ray diffraction pattern of NdMn3V4O12 for a wavelength of 1.5418 Å, from a cell relaxed with GGA+U.
Neutral-atom scattering factors, no anomalous dispersion.

Structure:
```
data_NdMn3V4O12
_chemical_formula_sum 'Nd2 Mn6 V8 O24'
_symmetry_space_group_name_H-M 'I m -3'
_symmetry_Int_Tables_number 204
_symmetry_space_group_name_Hall '-I 2 2 3'
_cell_length_a 7.574
_cell_length_b 7.574
_cell_length_c 7.574
_cell_angle_alpha 90.00
_cell_angle_beta 90.00
_cell_angle_gamma 90.00
loop_
_atom_site_label
_atom_site_fract_x
_atom_site_fract_y
_atom_site_fract_z
Nd1 0.000 0.000 0.000
Mn1 0.000 0.000 0.500
V1 0.250 0.250 0.250
O1 0.000 0.296 0.188
```

Main lines, sorted by position (5° ≤ 2θ ≤ 70°):
two_theta, Rel. int., (hkl)
16.55, 20, 1 1 0
23.49, 3, 2 0 0
28.88, 8, 2 1 1
33.46, 100, 2 2 0
37.55, 12, 3 0 1
41.29, 9, 2 2 2
44.77, 13, 3 1 2
48.05, 30, 4 0 0
51.17, 3, 4 1 1
54.16, 2, 4 0 2
59.82, 47, 4 2 2
62.53, 4, 4 1 3

***

Record 4
Simulated powder X-ray diffraction pattern of Mn3NiO8 for a wavelength of 1.5418 Å, from a cell relaxed with GGA+U.
Neutral-atom scattering factors, no anomalous dispersion.

Structure:
```
data_Mn3NiO8
_chemical_formula_sum 'Mn9 Ni3 O24'
_symmetry_space_group_name_H-M 'R -3 m'
_symmetry_Int_Tables_number 166
_symmetry_space_group_name_Hall '-R 3 2"'
_cell_length_a 5.7882
_cell_length_b 5.7882
_cell_length_c 13.9276
_cell_angle_alpha 90.00
_cell_angle_beta 90.00
_cell_angle_gamma 120.00
loop_
_atom_site_label
_atom_site_fract_x
_atom_site_fract_y
_atom_site_fract_z
Mn1 0.0000 0.5000 0.0000
Ni1 0.0000 0.0000 0.5000
O1 0.0000 0.0000 0.2627
O2 0.0403 0.5202 0.2535
```

Main lines, sorted by position (5° ≤ 2θ ≤ 70°):
two_theta, Rel. int., (hkl)
18.81, 100, 1 0 1
19.12, 23, 0 0 3
36.42, 9, 0 2 1
36.59, 24, 1 1 3
36.92, 11, 0 1 5
38.16, 9, 2 0 2
44.54, 60, 0 2 4
48.49, 7, 2 1 1
58.73, 6, 0 3 3
58.96, 10, 1 2 5
64.38, 16, 2 2 0
65.25, 15, 2 0 8

***

Record 5
Simulated powder X-ray diffraction pattern of Mn2NiO4 for a wavelength of 1.5418 Å, from a cell relaxed with GGA+U.
Neutral-atom scattering factors, no anomalous dispersion.

Structure:
Lattice parameters (Å, degrees): 8.516 8.516 8.516 90.00 90.00 90.00
Space group Fd-3m (No. 227, origin choice 2)
Inequivalent atoms, fractional coordinates:
Mn 0.000 0.000 0.000 [16 per cell]
Ni 0.125 0.125 0.625 [8 per cell]
O 0.006 0.006 0.244 [32 per cell]

Main lines, sorted by position (5° ≤ 2θ ≤ 70°):
two_theta, Rel. int., (hkl)
18.04, 4, 1 1 1
29.67, 33, 2 2 0
34.95, 100, 3 1 1
36.55, 6, 2 2 2
42.46, 16, 4 0 0
52.66, 12, 4 2 2
56.12, 34, 5 1 1
61.61, 45, 4 4 0
69.86, 5, 6 2 0

***

Record 6
Simulated powder X-ray diffraction pattern of Mn2NiO4 for a wavelength of 1.5418 Å, from a cell relaxed with GGA+U.
Neutral-atom scattering factors, no anomalous dispersion.

Structure:
```
data_Mn2NiO4
_chemical_formula_sum 'Mn8 Ni4 O16'
_symmetry_space_group_name_H-M 'I m m a'
_symmetry_Int_Tables_number 74
_symmetry_space_group_name_Hall '-I 2b 2'
_cell_length_a 5.781
_cell_length_b 5.887
_cell_length_c 9.287
_cell_angle_alpha 90.00
_cell_angle_beta 90.00
_cell_angle_gamma 90.00
loop_
_atom_site_label
_atom_site_fract_x
_atom_site_fract_y
_atom_site_fract_z
Mn1 0.000 0.000 0.000
Mn2 0.250 0.250 0.250
Ni1 0.000 0.250 0.630
O1 0.000 0.024 0.249
O2 0.229 0.250 0.001
```

Main lines, sorted by position (5° ≤ 2θ ≤ 70°):
two_theta, Rel. int., (hkl)
28.95, 72, 1 1 2
32.68, 63, 0 1 3
32.82, 74, 1 0 3
35.57, 90, 1 2 1
35.94, 92, 2 1 1
38.79, 24, 0 0 4
43.90, 29, 2 2 0
51.64, 35, 0 1 5
57.64, 29, 2 3 1
58.07, 26, 3 2 1
60.00, 100, 2 2 4
63.18, 21, 0 4 0

***

Record 7
Simulated powder X-ray diffraction pattern of Mn3NiO8 for a wavelength of 1.5418 Å, from a cell relaxed with GGA+U.
Neutral-atom scattering factors, no anomalous dispersion.

Structure:
```
data_Mn3NiO8
_chemical_formula_sum 'Mn12 Ni4 O32'
_symmetry_space_group_name_H-M 'P 43 3 2'
_symmetry_Int_Tables_number 212
_symmetry_space_group_name_Hall 'P 4acd 2ab 3'
_cell_length_a 8.142
_cell_length_b 8.142
_cell_length_c 8.142
_cell_angle_alpha 90.00
_cell_angle_beta 90.00
_cell_angle_gamma 90.00
loop_
_atom_site_label
_atom_site_fract_x
_atom_site_fract_y
_atom_site_fract_z
Mn1 0.122 0.375 0.372
Ni1 0.125 0.125 0.125
O1 0.108 0.612 0.385
O2 0.110 0.390 0.610
```

Main lines, sorted by position (5° ≤ 2θ ≤ 70°):
two_theta, Rel. int., (hkl)
15.39, 1, 1 1 0
18.88, 100, 1 1 1
36.60, 35, 3 1 1
38.29, 10, 2 2 2
44.51, 49, 4 0 0
48.75, 10, 3 3 1
58.94, 16, 5 1 1
64.77, 26, 4 4 0
68.13, 13, 5 3 1

***

Record 8
Simulated powder X-ray diffraction pattern of Mn2NiO4 for a wavelength of 1.5418 Å, from a cell relaxed with GGA+U.
Neutral-atom scattering factors, no anomalous dispersion.

Structure:
```
data_Mn2NiO4
_chemical_formula_sum 'Mn16 Ni8 O32'
_symmetry_space_group_name_H-M 'C 1 m 1'
_symmetry_Int_Tables_number 8
_symmetry_space_group_name_Hall 'C -2y'
_cell_length_a 10.340
_cell_length_b 6.094
_cell_length_c 10.331
_cell_angle_alpha 90.00
_cell_angle_beta 108.75
_cell_angle_gamma 90.00
loop_
_atom_site_label
_atom_site_fract_x
_atom_site_fract_y
_atom_site_fract_z
Mn1 0.000 0.000 0.000
Mn2 0.001 0.252 0.248
Mn3 0.004 0.253 0.749
Mn4 0.183 0.000 0.560
Mn5 0.319 0.000 0.935
Mn6 0.322 0.500 0.435
Ni1 0.003 0.500 0.498
Ni2 0.181 0.500 0.064
Ni3 0.252 0.500 0.750
Ni4 0.253 0.000 0.248
O1 0.109 0.000 0.350
O2 0.110 0.000 0.868
O3 0.111 0.221 0.123
O4 0.113 0.500 0.859
O5 0.115 0.500 0.362
O6 0.119 0.270 0.637
O7 0.383 0.500 0.122
O8 0.389 0.228 0.361
O9 0.391 0.000 0.639
O10 0.392 0.000 0.141
O11 0.393 0.277 0.872
O12 0.397 0.500 0.646
```

Main lines, sorted by position (5° ≤ 2θ ≤ 70°):
two_theta, Rel. int., (hkl)
18.13, 21, 2 0 0
29.79, 53, 1 1 -3
34.68, 85, 2 2 0
34.92, 100, 1 1 3
35.31, 90, 4 0 -2
42.20, 40, 2 2 2
55.68, 33, 3 3 1
55.94, 36, 2 2 4
56.86, 27, 5 1 -5
60.80, 22, 0 4 0
61.62, 20, 4 0 4
61.88, 81, 2 2 -6

***

Record 9
Simulated powder X-ray diffraction pattern of Mn3NiO8 for a wavelength of 1.5418 Å, from a cell relaxed with GGA+U.
Neutral-atom scattering factors, no anomalous dispersion.

Structure:
```
data_Mn3NiO8
_chemical_formula_sum 'Mn9 Ni3 O24'
_symmetry_space_group_name_H-M 'R -3 m'
_symmetry_Int_Tables_number 166
_symmetry_space_group_name_Hall '-R 3 2"'
_cell_length_a 5.8328
_cell_length_b 5.8328
_cell_length_c 13.7136
_cell_angle_alpha 90.00
_cell_angle_beta 90.00
_cell_angle_gamma 120.00
loop_
_atom_site_label
_atom_site_fract_x
_atom_site_fract_y
_atom_site_fract_z
Mn1 0.0000 0.5000 0.0000
Ni1 0.0000 0.0000 0.0000
O1 0.0000 0.0000 0.2632
O2 0.0047 0.5024 0.7366
```

Main lines, sorted by position (5° ≤ 2θ ≤ 70°):
two_theta, Rel. int., (hkl)
19.42, 100, 0 0 3
36.16, 40, 0 2 1
37.97, 8, 2 0 2
39.42, 3, 0 0 6
44.56, 54, 0 2 4
49.03, 11, 2 0 5
59.74, 15, 0 2 7
60.79, 1, 0 0 9
63.83, 16, 2 2 0
65.85, 12, 2 0 8
67.41, 15, 2 2 3